No. 1
Calculated X-ray powder pattern of Cs2Ho2Al2O7 for Cu Kα, 1.54184 Å, from the PBE geometry in OQMD.

The 10 most intense peaks (2θ = 10–80°), by angle:
2theta, I_rel
17.91, 28
25.74, 100
26.10, 60
26.52, 26
29.30, 27
30.61, 33
37.64, 20
42.89, 23
50.72, 19
53.63, 25

Structural model:
```
13
Lattice="-2.9205 4.8369 4.6732 2.9205 -4.8369 4.6732 2.9205 4.8369 -4.6732" Properties=species:S:1:pos:R:3 pbc="T T T"
Cs 0.0000 0.0000 0.0000
Cs 0.0000 4.8369 1.7011
Ho 2.9205 2.9017 -0.6697
Ho 0.0000 1.9352 4.0035
Al 2.9205 -1.5753 2.3601
Al 2.9205 1.5753 2.3601
O 1.4021 2.2892 -1.8790
O 4.4389 2.2892 -1.8790
O 2.9205 1.3870 0.6281
O 2.9205 0.0000 3.2559
O -1.5184 2.5477 2.7942
O 1.5184 2.5477 2.7942
O 0.0000 3.4498 5.3013
```

No. 2
Calculated X-ray powder pattern of Te8Ir for Cu Kα, 1.54184 Å, from the PBE geometry in OQMD.

The 10 most intense peaks (2θ = 10–80°), by angle:
2theta, I_rel
11.59, 17
20.14, 23
23.30, 22
30.57, 19
30.99, 34
32.80, 100
38.79, 36
40.95, 20
46.47, 15
69.44, 17

Structural model:
```
9
Lattice="8.8163 0.0000 0.0000 -4.4082 7.6352 0.0000 0.0000 0.0000 3.9079" Properties=species:S:1:pos:R:3 pbc="T T T"
Te -0.9226 1.5979 0.0000
Te -2.3323 4.0397 1.9540
Te 1.8451 0.0000 0.0000
Te 0.0000 5.0901 0.0000
Te 2.0759 3.5955 1.9540
Te 4.6646 0.0000 1.9540
Te 4.4082 2.5451 0.0000
Te 3.4856 6.0372 0.0000
Ir 0.0000 0.0000 1.9540
```

No. 3
Calculated X-ray powder pattern of Ta2ReAg for Cu Kα, 1.54184 Å, from the PBE geometry in OQMD.

The 8 most intense peaks (2θ = 10–80°), by angle:
2theta, I_rel
23.82, 2
27.57, 1
39.39, 100
46.55, 1
56.92, 17
62.57, 1
64.39, 1
71.42, 35

Structural model:
```
16
Lattice="6.4707 0.0000 0.0000 0.0000 6.4707 0.0000 0.0000 0.0000 6.4707" Properties=species:S:1:pos:R:3 pbc="T T T"
Ta 0.0000 0.0000 0.0000
Ta 0.0000 3.2353 3.2353
Ta 1.6177 1.6177 1.6177
Ta 1.6177 4.8530 4.8530
Ta 3.2353 0.0000 3.2353
Ta 3.2353 3.2353 0.0000
Ta 4.8530 1.6177 4.8530
Ta 4.8530 4.8530 1.6177
Re 0.0000 0.0000 3.2353
Re 0.0000 3.2353 0.0000
Re 3.2353 0.0000 0.0000
Re 3.2353 3.2353 3.2353
Ag 1.6177 1.6177 4.8530
Ag 1.6177 4.8530 1.6177
Ag 4.8530 1.6177 1.6177
Ag 4.8530 4.8530 4.8530
```

No. 4
Calculated X-ray powder pattern of Al2CdTe3Se for Cu Kα, 1.54184 Å, from the PBE geometry in OQMD.

The 10 most intense peaks (2θ = 10–80°), by angle:
2theta, I_rel
25.19, 56
25.58, 100
25.81, 51
40.94, 24
41.79, 23
42.50, 21
42.61, 19
42.82, 19
43.24, 19
49.40, 32

Structural model:
```
7
Lattice="6.1529 0.0000 0.0000 -0.1218 6.1965 0.0000 -2.9193 -3.1256 5.7978" Properties=species:S:1:pos:R:3 pbc="T T T"
Al 0.0000 0.0000 0.0000
Al -0.1660 3.0854 3.0027
Cd 2.8986 2.9808 0.0276
Te 1.3839 4.7671 1.6557
Te 1.6335 1.5433 4.2079
Te 4.5446 1.3074 1.6547
Se -1.6072 -1.7360 4.2833
```

No. 5
Calculated X-ray powder pattern of TbAuSO for Cu Kα, 1.54184 Å, from the PBE geometry in OQMD.

The 10 most intense peaks (2θ = 10–80°), by angle:
2theta, I_rel
19.53, 69
29.48, 52
29.87, 83
31.82, 83
33.41, 100
37.66, 63
43.93, 50
46.81, 85
50.14, 48
51.77, 39

Structural model:
```
16
Lattice="5.6120 0.0000 0.0000 0.0000 5.6249 0.0000 0.0000 0.0000 9.0891" Properties=species:S:1:pos:R:3 pbc="T T T"
Tb 0.0000 0.0000 0.0000
Tb 0.0000 2.8124 2.2240
Tb 2.8060 0.0000 2.2240
Tb 2.8060 2.8124 0.0000
Au 1.4031 0.0265 5.6470
Au 1.4030 2.8389 5.6470
Au 4.2091 2.7859 5.6470
Au 4.2090 5.5984 5.6470
S 0.0000 0.0000 3.6787
S 0.0000 2.8124 7.6162
S 2.8060 0.0000 7.6162
S 2.8060 2.8124 3.6787
O 1.4036 1.4051 1.1098
O 1.4024 4.2176 1.1098
O 4.2096 1.4073 1.1098
O 4.2084 4.2197 1.1098
```

No. 6
Calculated X-ray powder pattern of Pr3HoEr2Te2Pd for Cu Kα, 1.54184 Å, from the PBE geometry in OQMD.

The 10 most intense peaks (2θ = 10–80°), by angle:
2theta, I_rel
30.33, 100
32.07, 76
32.72, 88
36.50, 34
39.11, 44
44.44, 25
49.83, 18
55.85, 32
58.81, 17
59.05, 36

Structural model:
```
9
Lattice="4.0774 0.0000 0.0000 0.0000 7.3865 4.2619 0.0000 -7.3865 4.2619" Properties=species:S:1:pos:R:3 pbc="T T T"
Pr 0.0000 0.0000 0.0000
Pr 0.0000 -3.0020 3.3303
Pr 0.0000 3.0020 3.3303
Ho 2.0387 0.0000 3.0099
Er 2.0387 -1.7737 6.0858
Er 2.0387 1.7737 6.0858
Te 2.0387 -4.9223 5.0616
Te 2.0387 4.9223 5.0616
Pd 0.0000 0.0000 5.0723
```

No. 7
Calculated X-ray powder pattern of Sm2IBrNCl for Cu Kα, 1.54184 Å, from the PBE geometry in OQMD.

The 10 most intense peaks (2θ = 10–80°), by angle:
2theta, I_rel
23.21, 30
26.14, 100
27.34, 35
29.82, 33
30.49, 49
31.88, 79
32.47, 35
34.13, 42
37.83, 28
45.39, 51

Structural model:
```
12
Lattice="9.5369 -1.9969 0.0000 9.5369 1.9969 0.0000 -7.1992 0.0000 9.5918" Properties=species:S:1:pos:R:3 pbc="T T T"
Sm -1.9172 0.0000 4.3964
Sm 5.3509 0.0000 2.0058
Sm 6.5236 0.0000 7.5860
Sm 13.7917 0.0000 5.1954
I 2.4819 0.0000 3.5044
I 9.3926 0.0000 6.0874
Br 3.5344 0.0000 7.2554
Br 8.3400 0.0000 2.3365
N -3.2454 0.0000 6.2814
N 15.1198 0.0000 3.3104
Cl -3.8465 0.0000 9.5748
Cl 15.7209 0.0000 0.0171
```

No. 8
Calculated X-ray powder pattern of Ho2BrNCl2 for Cu Kα, 1.54184 Å, from the PBE geometry in OQMD.

The 10 most intense peaks (2θ = 10–80°), by angle:
2theta, I_rel
10.04, 100
24.45, 17
27.38, 48
28.69, 18
31.38, 18
31.90, 19
33.35, 25
34.12, 18
35.91, 15
47.70, 23

Structural model:
```
12
Lattice="9.0866 -1.9049 0.0000 9.0866 1.9049 0.0000 -6.7670 0.0000 9.1903" Properties=species:S:1:pos:R:3 pbc="T T T"
Ho -1.7733 0.0000 4.2039
Ho 5.1361 0.0000 1.9174
Ho 6.2701 0.0000 7.2730
Ho 13.1794 0.0000 4.9864
Br 2.5511 0.0000 3.4811
Br 8.8551 0.0000 5.7092
N -3.0297 0.0000 6.0312
N 14.4359 0.0000 3.1591
Cl 3.1132 0.0000 0.0588
Cl 3.5143 0.0000 6.8539
Cl 7.8918 0.0000 2.3365
Cl 8.2929 0.0000 9.1316
```

No. 9
Calculated X-ray powder pattern of NdSmSc2Si2 for Cu Kα, 1.54184 Å, from the PBE geometry in OQMD.

The 10 most intense peaks (2θ = 10–80°), by angle:
2theta, I_rel
26.86, 100
29.55, 43
31.70, 75
34.06, 28
35.33, 54
37.47, 34
42.28, 46
50.81, 36
55.37, 27
56.24, 28

Structural model:
```
12
Lattice="4.2748 0.0000 0.0000 0.0000 4.2748 0.0000 0.0000 0.0000 15.7958" Properties=species:S:1:pos:R:3 pbc="T T T"
Nd 0.0000 0.0000 0.0000
Nd 2.1374 2.1374 7.8979
Sm 0.0000 0.0000 10.2175
Sm 2.1374 2.1374 2.3196
Sc 0.0000 2.1374 5.0930
Sc 0.0000 2.1374 12.9909
Sc 2.1374 0.0000 5.0930
Sc 2.1374 0.0000 12.9909
Si 0.0000 0.0000 3.1542
Si 0.0000 0.0000 7.0457
Si 2.1374 2.1374 11.0521
Si 2.1374 2.1374 14.9436
```

No. 10
Calculated X-ray powder pattern of Cu7Ag2 for Cu Kα, 1.54184 Å, from the PBE geometry in OQMD.

The 10 most intense peaks (2θ = 10–80°), by angle:
2theta, I_rel
33.74, 10
41.52, 100
41.54, 46
42.29, 45
47.86, 66
49.94, 20
69.45, 10
70.55, 9
71.13, 13
72.19, 13

Structural model:
```
9
Lattice="4.3723 -1.3533 0.0000 4.3723 1.3533 0.0000 -4.3455 0.0000 10.0375" Properties=species:S:1:pos:R:3 pbc="T T T"
Cu 0.0000 0.0000 0.0000
Cu -1.8781 0.0000 9.0088
Cu 1.3699 0.0000 3.0961
Cu 0.5708 0.0000 8.0073
Cu 3.8283 0.0000 2.0302
Cu 3.0293 0.0000 6.9414
Cu 6.2773 0.0000 1.0287
Ag -1.0049 0.0000 4.3238
Ag 5.4041 0.0000 5.7137
```

No. 11
Calculated X-ray powder pattern of GdY3Te2C2 for Cu Kα, 1.54184 Å, from the PBE geometry in OQMD.

The 10 most intense peaks (2θ = 10–80°), by angle:
2theta, I_rel
26.73, 26
32.94, 100
38.35, 13
47.19, 26
47.36, 13
58.75, 19
62.37, 18
65.94, 11
69.09, 4
78.57, 16

Structural model:
```
8
Lattice="3.8516 0.0000 0.0000 -1.9258 3.3356 0.0000 0.0000 0.0000 14.0821" Properties=species:S:1:pos:R:3 pbc="T T T"
Gd 0.0000 0.0000 0.0000
Y 0.0000 0.0000 4.4184
Y 0.0000 2.2237 7.0426
Y 0.0000 2.2237 11.4313
Te 0.0000 0.0000 9.2401
Te 0.0000 2.2237 2.2303
C 1.9258 1.1119 5.7346
C 1.9258 1.1119 12.7539
```

No. 12
Calculated X-ray powder pattern of RbHoTeO for Cu Kα, 1.54184 Å, from the PBE geometry in OQMD.

The 10 most intense peaks (2θ = 10–80°), by angle:
2theta, I_rel
27.02, 15
27.97, 27
28.69, 100
29.47, 25
29.99, 51
31.33, 18
32.93, 24
33.13, 28
35.07, 42
48.03, 27

Structural model:
```
16
Lattice="9.1730 0.0000 0.0000 0.0000 7.4210 0.0000 -0.8775 0.0000 6.5999" Properties=species:S:1:pos:R:3 pbc="T T T"
Rb 0.8823 0.7486 2.2789
Rb 0.4436 2.9619 5.5789
Rb 7.8519 4.4591 1.0210
Rb 7.4131 6.6724 4.3209
Ho 3.8106 4.7137 5.2178
Ho 4.2493 6.4178 1.9178
Ho 4.0461 1.0032 4.6820
Ho 4.4849 2.7073 1.3821
Te 1.9756 4.2944 2.5406
Te 1.5368 6.8370 5.8406
Te 6.7587 0.5839 0.7593
Te 6.3199 3.1265 4.0592
O 3.6196 1.0566 2.5625
O 3.1808 2.6539 5.8625
O 5.1146 4.7671 0.7374
O 4.6759 6.3644 4.0374
```

No. 13
Calculated X-ray powder pattern of LaNiSbAsPd for Cu Kα, 1.54184 Å, from the PBE geometry in OQMD.

The 10 most intense peaks (2θ = 10–80°), by angle:
2theta, I_rel
26.41, 12
32.54, 36
33.56, 100
39.71, 27
41.34, 65
45.01, 25
53.57, 17
58.66, 17
59.89, 21
70.43, 22

Structural model:
```
10
Lattice="4.3681 0.0000 0.0000 0.0000 4.3681 0.0000 0.0000 0.0000 10.6271" Properties=species:S:1:pos:R:3 pbc="T T T"
La 1.0920 1.0920 2.2586
La 3.2760 3.2760 8.3685
Ni 1.0920 3.2760 0.0000
Ni 3.2760 1.0920 0.0000
Sb 1.0920 3.2760 5.3136
Sb 3.2760 1.0920 5.3136
As 1.0920 1.0920 9.4722
As 3.2760 3.2760 1.1550
Pd 1.0920 1.0920 6.9801
Pd 3.2760 3.2760 3.6471
```